[1]
Calculated X-ray powder pattern of GdY2Ga for copper Kα, from the PBE geometry in OQMD.
Intensities are scaled so that the largest is 100.

Most intense lines, 2θ from 15° to 90°, in order of rising 2θ:
(1 1 1), 22.6°, I 11; (2 2 0), 30.1°, I 25; (0 0 2), 34.2°, I 24; (0 4 1), 34.8°, I 100; (2 2 2), 46.2°, I 15; (2 6 0), 53.6°, I 12; (0 4 3), 61.6°, I 19; (4 0 2), 65.0°, I 7; (2 6 2), 65.1°, I 13; (4 4 1), 65.3°, I 10

Crystal structure
Cell: 6.863 11.837 5.242 Å, 90.00 90.00 90.00°
Space group Cmcm (No. 63)
Inequivalent atoms, fractional coordinates:
Gd: 0.000 0.177 0.250 x4
Y: 0.237 0.411 0.250 x8
Ga: 0.000 0.335 0.750 x4


[2]
Calculated X-ray powder pattern of PrNdNi2P4 for copper Kα, from the PBE geometry in OQMD.
Intensities are scaled so that the largest is 100.

Most intense lines, 2θ from 15° to 90°, in order of rising 2θ:
(1 0 1), 25.2°, I 77; (1 0 3), 36.0°, I 53; (0 0 4), 36.1°, I 20; (1 1 2), 38.2°, I 100; (2 0 0), 48.1°, I 33; (1 0 5), 51.9°, I 16; (2 1 1), 55.0°, I 18; (2 0 4), 61.6°, I 39; (1 1 6), 66.3°, I 16; (3 1 2), 83.0°, I 20

Crystal structure
Cell: 3.784 3.784 9.944 Å, 90.00 90.00 90.00°
Space group P4mm (No. 99)
Inequivalent atoms, fractional coordinates:
Pr: 0.000 0.000 0.000 x1
Nd: 0.500 0.500 0.469 x1
Ni: 0.000 0.500 0.733 x2
P: 0.000 0.000 0.607 x1
P: 0.000 0.500 0.236 x2
P: 0.500 0.500 0.858 x1


Repeat the first record exactly.
Calculated X-ray powder pattern of GdY2Ga for copper Kα, from the PBE geometry in OQMD.
Intensities are scaled so that the largest is 100.

Most intense lines, 2θ from 15° to 90°, in order of rising 2θ:
(1 1 1), 22.6°, I 11; (2 2 0), 30.1°, I 25; (0 0 2), 34.2°, I 24; (0 4 1), 34.8°, I 100; (2 2 2), 46.2°, I 15; (2 6 0), 53.6°, I 12; (0 4 3), 61.6°, I 19; (4 0 2), 65.0°, I 7; (2 6 2), 65.1°, I 13; (4 4 1), 65.3°, I 10

Crystal structure
Cell: 6.863 11.837 5.242 Å, 90.00 90.00 90.00°
Space group Cmcm (No. 63)
Inequivalent atoms, fractional coordinates:
Gd: 0.000 0.177 0.250 x4
Y: 0.237 0.411 0.250 x8
Ga: 0.000 0.335 0.750 x4